Record 1
The following is a theoretical PXRD pattern of SrPr3Bi4. It was derived from the PBE geometry in Alexandria, using Cu Ka.

Structure:
Cell lengths 8.1339, 9.4124, 8.0953 Å; angles 90.00, 109.67, 90.00 degrees
Space group P2/c (No. 13)
Asymmetric unit:
Sr1 0.0000 0.1238 0.2500 x2
Pr1 0.0000 0.3743 0.7500 x2
Pr2 0.5000 0.1240 0.7500 x2
Pr3 0.5000 0.3748 0.2500 x2
Bi1 0.2523 0.3793 0.5043 x4
Bi2 0.2590 0.1304 0.9990 x4

The 12 most intense peaks (2θ from 5° to 70°), sorted by position:
2θ 23.19, rel. 7, hkl 1 2 -1; 2θ 26.88, rel. 100, hkl 1 2 1; 2θ 38.29, rel. 40, hkl 0 4 0; 2θ 38.48, rel. 39, hkl 2 0 2; 2θ 47.37, rel. 14, hkl 2 4 -2; 2θ 47.48, rel. 7, hkl 4 0 0; 2θ 47.72, rel. 7, hkl 0 0 4; 2θ 55.41, rel. 14, hkl 2 4 2; 2θ 62.51, rel. 19, hkl 1 6 1; 2θ 62.73, rel. 13, hkl 0 4 4; 2θ 69.24, rel. 9, hkl 1 6 -3; 2θ 69.73, rel. 7, hkl 1 2 5

---

Record 2
The following is a theoretical PXRD pattern of Tb2Pr3Bi3. It was derived from the PBE geometry in Alexandria, using Cu Ka.

Structure:
Cell lengths 4.5796, 14.3461, 16.0965 Å; angles 90.00, 90.00, 90.00 degrees
Space group Cmcm (No. 63)
Asymmetric unit:
Tb1 0.0000 0.2356 0.0948 x8
Pr1 0.0000 0.0473 0.6165 x8
Pr2 0.0000 0.3469 0.7500 x4
Bi1 0.0000 0.3725 0.2500 x4
Bi2 0.0000 0.3943 0.5397 x8

The 12 most intense peaks (2θ from 5° to 70°), sorted by position:
2θ 20.67, rel. 15, hkl 0 2 3; 2θ 26.96, rel. 33, hkl 1 3 0; 2θ 27.53, rel. 20, hkl 1 3 1; 2θ 30.21, rel. 77, hkl 1 1 4; 2θ 31.78, rel. 100, hkl 1 3 3; 2θ 33.45, rel. 58, hkl 0 4 4; 2θ 36.97, rel. 23, hkl 1 5 0; 2θ 39.34, rel. 47, hkl 2 0 0; 2θ 44.54, rel. 13, hkl 1 1 7; 2θ 52.58, rel. 33, hkl 2 4 4; 2θ 58.33, rel. 13, hkl 2 2 7; 2θ 64.18, rel. 22, hkl 1 7 7

---

Record 3
The following is a theoretical PXRD pattern of Tb5Pr2Bi4. It was derived from the PBE geometry in Alexandria, using Cu Ka.

Structure:
Cell lengths 23.2372, 4.8122, 7.2053 Å; angles 90.00, 107.83, 90.00 degrees
Space group C2/m (No. 12)
Asymmetric unit:
Tb1 0.0000 0.0000 0.0000 x2
Tb2 0.1107 0.5000 0.4447 x4
Tb3 0.1585 0.5000 0.9941 x4
Pr1 0.2206 0.0000 0.3279 x4
Bi1 0.0276 0.5000 0.7486 x4
Bi2 0.1887 0.0000 0.7534 x4

The 12 most intense peaks (2θ from 5° to 70°), sorted by position:
2θ 18.87, rel. 22, hkl 1 1 0; 2θ 27.40, rel. 27, hkl 5 1 0; 2θ 30.88, rel. 34, hkl 6 0 1; 2θ 31.29, rel. 100, hkl 3 1 -2; 2θ 33.00, rel. 24, hkl 5 1 1; 2θ 33.94, rel. 13, hkl 7 1 0; 2θ 37.16, rel. 21, hkl 3 1 2; 2θ 37.37, rel. 35, hkl 0 2 0; 2θ 39.66, rel. 32, hkl 9 1 -1; 2θ 49.24, rel. 19, hkl 6 2 1; 2θ 55.46, rel. 13, hkl 12 0 1; 2θ 63.64, rel. 14, hkl 3 3 -2